For Sr3CrCu2O6, a crystal structure in Alexandria, relaxed with PBE+U gives the calculated XRD peak list in this record (Cu Kα, 1.54184 Å).
Lines closer than 0.1° are merged.

Top 8 peaks for 5 to 70 degrees two-theta, low angle first:
h k l	2θ/deg	intensity
1 1 0	31.01	100
0 1 2	33.56	76
0 2 1	38.77	8
2 0 2	46.34	50
3 0 0	55.17	19
1 2 2	56.81	33
1 0 4	61.55	11
2 2 0	64.65	18

Atomic structure:
Lattice parameters (Å, degrees): 5.767 5.767 6.321 90.00 90.00 120.00
Fractional positions:
Sr (0.000, 0.000, 0.000)
Sr (0.333, 0.667, 0.634)
Sr (0.667, 0.333, 0.366)
Cr (0.000, 0.000, 0.500)
Cu (0.333, 0.667, 0.179)
Cu (0.667, 0.333, 0.821)
O (0.161, 0.323, 0.308)
O (0.161, 0.839, 0.308)
O (0.323, 0.161, 0.692)
O (0.677, 0.839, 0.308)
O (0.839, 0.161, 0.692)
O (0.839, 0.677, 0.692)